This entry pairs a crystal structure of ZnW2O5 with its calculated powder XRD pattern. Radiation: Cu Kα X-rays. Structure: DFT lattice parameters and positions (GGA+U).

Cell and atoms:
```
data_ZnW2O5
_space_group_name_H-M_alt 'P m m n'
_space_group_IT_number 59
_cell_length_a 4.001
_cell_length_b 11.723
_cell_length_c 6.668
_cell_angle_alpha 90.00
_cell_angle_beta 90.00
_cell_angle_gamma 90.00
loop_
_space_group_symop_operation_xyz
'x,y,z'
'-x,-y,-z'
'-x+1/2,-y+1/2,z'
'x+1/2,y+1/2,-z'
'x+1/2,-y,-z'
'-x+1/2,y,z'
'-x,y+1/2,-z'
'x,-y+1/2,z'
loop_
_atom_site_label
_atom_site_type_symbol
_atom_site_fract_x
_atom_site_fract_y
_atom_site_fract_z
Zn1 Zn 0.250 0.250 0.111
W1 W 0.250 0.590 0.383
O1 O 0.250 0.066 0.537
O2 O 0.250 0.574 0.124
O3 O 0.250 0.750 0.462
```

Peak list (10 most intense, 15° ≤ 2θ ≤ 90°, in order of falling intensity)
d = 2.796 Å, I 100.0; d = 3.431 Å, I 94.7; d = 3.371 Å, I 93.6; d = 3.293 Å, I 65.4; d = 3.207 Å, I 57.4; d = 4.402 Å, I 46.9; d = 1.698 Å, I 41.8; d = 5.796 Å, I 36.2; d = 1.933 Å, I 34.4; d = 1.432 Å, I 33.4